This entry pairs a crystal structure of ZrU4P6 with its theoretical PXRD pattern. Radiation: CuKα. Structure: the PBE geometry in Alexandria.
Intensities are scaled so that the largest is 100.

Peak list (10 most intense, 5° ≤ 2θ ≤ 70°, by angle)
d (Å)	I_rel	index
3.823	33	2 0 2
3.430	86	1 1 3
3.110	100	3 0 0
2.714	40	0 2 4
2.539	36	1 3 1
2.304	37	2 2 3
2.037	26	2 3 2
1.809	26	3 0 6
1.801	31	3 2 4
1.796	26	5 0 2

a = 10.7694 Å, b = 10.7694 Å, c = 13.3502 Å
α = 90.00°, β = 90.00°, γ = 120.00°
Space group R-3c (No. 167, hexagonal axes)
Asymmetric unit:
1 Zr 0.0000 0.0000 0.0000
2 U 0.0000 0.0000 0.2500
3 U 0.0000 0.3818 0.2500
4 P 0.0283 0.2076 0.3868